# 1
AlTlTe2: computed powder X-ray diffraction pattern (Cu Kα (λ = 1.5418 Å)), based on a cell relaxed with PBE.
Neutral-atom scattering factors, no anomalous dispersion.

Crystal structure
Cell: 6.9212 7.0196 7.2641 Å, 104.78 104.17 118.61°
Space group P1 (No. 1)
One atom of each set of equivalent atoms:
Al (0.0000, 0.0000, 0.0000) [1 per cell]
Al (0.4693, 0.7188, 0.0002) [1 per cell]
Tl (0.5239, 0.0758, 0.5659) [1 per cell]
Tl (0.9590, 0.5094, 0.4347) [1 per cell]
Te (0.0591, 0.4058, 0.0001) [1 per cell]
Te (0.4086, 0.0691, 0.0001) [1 per cell]
Te (0.5764, 0.6244, 0.6762) [1 per cell]
Te (0.9003, 0.9482, 0.3239) [1 per cell]

Principal peaks in the range 10 to 80 degrees two-theta, sorted by position:
2θ/deg	I/Imax
14.78	30
25.69	100
26.36	56
28.78	43
28.98	30
29.82	31
31.97	43
32.31	54
32.69	69
33.07	46

---

# 2
Sm3Y4Tm: computed powder X-ray diffraction pattern (Cu Kα (λ = 1.5418 Å)), based on a cell relaxed with PBE.
Neutral-atom scattering factors, no anomalous dispersion.

Crystal structure
Cell: 11.3913 7.3235 6.3260 Å, 90.00 90.00 90.00°
Space group Pmn2_1 (No. 31)
One atom of each set of equivalent atoms:
Sm (0.0000, 0.1251, 0.0000) [2 per cell]
Sm (0.2503, 0.1242, 0.3296) [4 per cell]
Y (0.0000, 0.3744, 0.4980) [2 per cell]
Y (0.0000, 0.6240, 0.9963) [2 per cell]
Y (0.2481, 0.6247, 0.3332) [4 per cell]
Tm (0.0000, 0.8736, 0.4983) [2 per cell]

Principal peaks in the range 10 to 80 degrees two-theta, sorted by position:
2θ/deg	I/Imax
28.18	24
31.41	24
32.34	100
42.70	16
49.81	7
49.91	13
56.51	20
60.08	7
60.17	15
60.66	11

---

# 3
SmZrSb2: computed powder X-ray diffraction pattern (Cu Kα (λ = 1.5418 Å)), based on a cell relaxed with PBE.
Neutral-atom scattering factors, no anomalous dispersion.

Crystal structure
Cell: 4.2717 4.2717 21.2559 Å, 90.00 90.00 120.00°
Space group R-3m (No. 166, hexagonal axes)
One atom of each set of equivalent atoms:
Sm (0.0000, 0.0000, 0.0000) [3 per cell]
Zr (0.0000, 0.0000, 0.5000) [3 per cell]
Sb (0.0000, 0.0000, 0.2436) [6 per cell]

Principal peaks in the range 10 to 80 degrees two-theta, sorted by position:
2θ/deg	I/Imax
29.42	100
41.86	37
42.32	37
51.60	6
52.37	20
61.04	12
68.86	15
69.52	17
77.08	12
77.39	6

---

# 4
Zr4Te5Se: computed powder X-ray diffraction pattern (Cu Kα (λ = 1.5418 Å)), based on a cell relaxed with PBE.
Neutral-atom scattering factors, no anomalous dispersion.

Crystal structure
Cell: 17.6024 3.9571 8.1056 Å, 90.00 101.90 90.00°
Space group C2/m (No. 12)
One atom of each set of equivalent atoms:
Zr (0.0012, 0.0000, 0.2788) [4 per cell]
Zr (0.1537, 0.5000, 0.5697) [4 per cell]
Te (0.0000, 0.5000, 0.0000) [2 per cell]
Te (0.1657, 0.0000, 0.8372) [4 per cell]
Te (0.1723, 0.0000, 0.3111) [4 per cell]
Se (0.0000, 0.5000, 0.5000) [2 per cell]

Principal peaks in the range 10 to 80 degrees two-theta, sorted by position:
2θ/deg	I/Imax
27.37	14
31.16	52
31.60	100
44.56	37
44.74	16
45.38	34
45.86	19
56.49	19
66.00	10
74.19	13

---

# 5
HgS: computed powder X-ray diffraction pattern (Cu Kα (λ = 1.5418 Å)), based on a cell relaxed with PBE.
Neutral-atom scattering factors, no anomalous dispersion.

Crystal structure
Cell: 10.8247 4.2915 8.6036 Å, 90.00 90.00 90.00°
Space group Pmn2_1 (No. 31)
One atom of each set of equivalent atoms:
Hg (0.0000, 0.0949, 0.0000) [2 per cell]
Hg (0.1679, 0.2576, 0.6155) [4 per cell]
S (0.0000, 0.5701, 0.7135) [2 per cell]
S (0.2183, 0.1528, 0.9924) [4 per cell]

Principal peaks in the range 10 to 80 degrees two-theta, sorted by position:
2θ/deg	I/Imax
13.14	62
20.65	97
22.28	56
23.16	44
24.60	35
26.79	100
28.50	47
37.73	43
38.74	55
54.02	37

---

# 6
LiY4Pd: computed powder X-ray diffraction pattern (Cu Kα (λ = 1.5418 Å)), based on a cell relaxed with PBE.
Neutral-atom scattering factors, no anomalous dispersion.

Crystal structure
Cell: 4.9062 4.9062 7.3769 Å, 90.00 90.00 90.00°
Space group P4/mmm (No. 123)
One atom of each set of equivalent atoms:
Li (0.0000, 0.0000, 0.0000) [1 per cell]
Y (0.0000, 0.5000, 0.2700) [4 per cell]
Pd (0.5000, 0.5000, 0.5000) [1 per cell]

Principal peaks in the range 10 to 80 degrees two-theta, sorted by position:
2θ/deg	I/Imax
12.00	35
21.76	21
24.13	18
25.68	34
35.52	100
36.63	48
52.77	17
63.06	18
65.24	32
75.18	14

---

# 7
BaP2: computed powder X-ray diffraction pattern (Cu Kα (λ = 1.5418 Å)), based on a cell relaxed with PBE.
Neutral-atom scattering factors, no anomalous dispersion.

Crystal structure
Cell: 6.4538 12.3553 7.7837 Å, 90.00 126.75 90.00°
Space group P2_1/c (No. 14)
One atom of each set of equivalent atoms:
Ba (0.0000, 0.0000, 0.0000) [2 per cell]
Ba (0.2734, 0.1629, 0.6704) [4 per cell]
P (0.1790, 0.7022, 0.3470) [4 per cell]
P (0.3162, 0.6299, 0.9634) [4 per cell]
P (0.4321, 0.6078, 0.2991) [4 per cell]

Principal peaks in the range 10 to 80 degrees two-theta, sorted by position:
2θ/deg	I/Imax
20.25	20
22.85	29
25.95	100
29.18	32
29.30	28
29.54	30
29.70	27
31.93	17
32.35	23
42.11	23

---

# 8
P2Pt: computed powder X-ray diffraction pattern (Cu Kα (λ = 1.5418 Å)), based on a cell relaxed with PBE.
Neutral-atom scattering factors, no anomalous dispersion.

Crystal structure
Cell: 5.7510 5.7510 5.7510 Å, 90.00 90.00 90.00°
Space group Pa-3 (No. 205)
One atom of each set of equivalent atoms:
P (0.1101, 0.1101, 0.1101) [8 per cell]
Pt (0.0000, 0.0000, 0.5000) [4 per cell]

Principal peaks in the range 10 to 80 degrees two-theta, sorted by position:
2θ/deg	I/Imax
26.85	100
31.10	81
34.88	4
38.34	4
44.56	56
52.79	79
55.34	19
64.85	5
71.51	24
73.67	23